Entry 1:
The following is a computed X-ray powder pattern of Pm4AlTl3. It was derived from the PBE geometry in Alexandria, using a wavelength of 1.5418 Å.
No peak broadening, texture or thermal motion is included.

Principal peaks in the range 2θ from 10° to 90°, in order of rising 2θ:
2θ (°)  I_rel
28.92  100
30.48  33
36.27  78
36.77  21
38.83  27
40.83  24

Structural model:
a b c (Å): 4.421 4.639 11.732
angles (deg): 90.00 90.00 90.00
Element x y z (fractional)
Pm 0.000 0.000 0.000
Pm 0.000 0.500 0.486
Pm 0.500 0.000 0.716
Pm 0.500 0.500 0.219
Al 0.000 0.000 0.277
Tl 0.000 0.500 0.763
Tl 0.500 0.000 0.435
Tl 0.500 0.500 0.944

Entry 2:
The following is a computed X-ray powder pattern of MgCdW2. It was derived from the PBE geometry in Alexandria, using a wavelength of 1.5418 Å.
No peak broadening, texture or thermal motion is included.

Principal peaks in the range 2θ from 10° to 90°, in order of rising 2θ:
2θ (°)  I_rel
37.53  25
38.77  100
38.92  25
44.35  16
55.18  16
70.38  17

Structural model:
a b c (Å): 3.243 4.628 9.586
angles (deg): 90.00 90.00 90.00
Element x y z (fractional)
Mg 0.000 0.000 0.000
Mg 0.500 0.500 0.000
Cd 0.000 0.500 0.729
Cd 0.500 0.000 0.729
W 0.000 0.000 0.467
W 0.000 0.500 0.246
W 0.500 0.000 0.246
W 0.500 0.500 0.467

Entry 3:
The following is a computed X-ray powder pattern of Sm4Te2S3. It was derived from the PBE geometry in Alexandria, using a wavelength of 1.5418 Å.
No peak broadening, texture or thermal motion is included.

Principal peaks in the range 2θ from 10° to 90°, in order of rising 2θ:
2θ (°)  I_rel
25.81  36
26.02  36
28.40  42
32.67  100
33.23  97
47.18  39

Structural model:
a b c (Å): 8.830 8.830 7.589
angles (deg): 90.00 90.00 128.56
Element x y z (fractional)
Sm 0.199 0.801 0.964
Sm 0.216 0.284 0.750
Sm 0.284 0.216 0.250
Sm 0.301 0.699 0.464
Sm 0.699 0.301 0.536
Sm 0.716 0.784 0.750
Sm 0.784 0.716 0.250
Sm 0.801 0.199 0.036
Te 0.107 0.893 0.576
Te 0.393 0.607 0.076
Te 0.607 0.393 0.924
Te 0.893 0.107 0.424
S 0.000 0.000 0.000
S 0.039 0.461 0.750
S 0.461 0.039 0.250
S 0.500 0.500 0.500
S 0.539 0.961 0.750
S 0.961 0.539 0.250

Entry 4:
The following is a computed X-ray powder pattern of Pm2Sm3Ho3. It was derived from the PBE geometry in Alexandria, using a wavelength of 1.5418 Å.
No peak broadening, texture or thermal motion is included.

Principal peaks in the range 2θ from 10° to 90°, in order of rising 2θ:
2θ (°)  I_rel
28.23  28
31.05  30
32.29  100
32.37  20
56.01  21
59.96  18

Structural model:
a b c (Å): 5.761 14.630 6.311
angles (deg): 90.00 90.08 90.00
Element x y z (fractional)
Pm 0.249 0.125 0.330
Pm 0.249 0.375 0.330
Pm 0.751 0.625 0.670
Pm 0.751 0.875 0.670
Sm 0.250 0.250 0.831
Sm 0.250 0.624 0.335
Sm 0.250 0.876 0.335
Sm 0.750 0.124 0.665
Sm 0.750 0.376 0.665
Sm 0.750 0.750 0.169
Ho 0.250 0.000 0.834
Ho 0.250 0.500 0.834
Ho 0.251 0.750 0.837
Ho 0.749 0.250 0.163
Ho 0.750 0.000 0.166
Ho 0.750 0.500 0.166

Entry 5:
The following is a computed X-ray powder pattern of Ac3Zn4In2. It was derived from the PBE geometry in Alexandria, using a wavelength of 1.5418 Å.
No peak broadening, texture or thermal motion is included.

Principal peaks in the range 2θ from 10° to 90°, in order of rising 2θ:
2θ (°)  I_rel
21.22  23
30.60  100
37.20  49
48.91  13
59.24  14
62.97  16

Structural model:
a b c (Å): 6.316 6.316 9.313
angles (deg): 108.11 108.11 45.06
Element x y z (fractional)
Ac 0.000 0.000 0.000
Ac 0.342 0.342 0.322
Ac 0.658 0.658 0.678
Zn 0.076 0.076 0.416
Zn 0.278 0.278 0.952
Zn 0.722 0.722 0.048
Zn 0.924 0.924 0.584
In 0.371 0.371 0.707
In 0.629 0.629 0.293

Entry 6:
The following is a computed X-ray powder pattern of Nd3Tm5Sc3. It was derived from the PBE geometry in Alexandria, using a wavelength of 1.5418 Å.
No peak broadening, texture or thermal motion is included.

Principal peaks in the range 2θ from 10° to 90°, in order of rising 2θ:
2θ (°)  I_rel
25.07  99
26.47  100
28.50  83
33.02  78
36.78  98
42.81  96

Structural model:
a b c (Å): 10.850 10.850 3.367
angles (deg): 90.00 90.00 120.00
Element x y z (fractional)
Nd 0.000 0.657 0.000
Nd 0.343 0.343 0.000
Nd 0.657 0.000 0.000
Tm 0.000 0.166 0.000
Tm 0.166 0.000 0.000
Tm 0.333 0.667 0.000
Tm 0.667 0.333 0.000
Tm 0.834 0.834 0.000
Sc 0.000 0.409 0.500
Sc 0.409 0.000 0.500
Sc 0.591 0.591 0.500

Entry 7:
The following is a computed X-ray powder pattern of ErAl7Fe5. It was derived from the PBE geometry in Alexandria, using a wavelength of 1.5418 Å.
No peak broadening, texture or thermal motion is included.

Principal peaks in the range 2θ from 10° to 90°, in order of rising 2θ:
2θ (°)  I_rel
14.54  49
20.51  30
29.27  88
36.05  34
41.70  78
41.89  100

Structural model:
a b c (Å): 6.587 6.587 6.587
angles (deg): 135.29 98.21 98.43
Element x y z (fractional)
Er 0.000 0.000 0.000
Al 0.210 0.501 0.709
Al 0.231 0.731 0.500
Al 0.345 0.345 0.000
Al 0.356 0.014 0.342
Al 0.666 0.666 0.000
Al 0.672 0.014 0.658
Al 0.792 0.501 0.291
Fe 0.007 0.004 0.498
Fe 0.007 0.509 0.003
Fe 0.506 0.004 0.997
Fe 0.506 0.509 0.502
Fe 0.771 0.271 0.500

Entry 8:
The following is a computed X-ray powder pattern of TlAg2AuBr6. It was derived from the PBE geometry in Alexandria, using a wavelength of 1.5418 Å.
No peak broadening, texture or thermal motion is included.

Principal peaks in the range 2θ from 10° to 90°, in order of rising 2θ:
2θ (°)  I_rel
17.47  100
21.73  46
22.37  29
23.93  45
27.05  29
29.61  28

Structural model:
a b c (Å): 7.008 7.486 7.981
angles (deg): 80.46 69.05 65.42
Element x y z (fractional)
Tl 0.000 0.000 0.000
Ag 0.507 0.301 0.905
Ag 0.534 0.708 0.275
Au 0.955 0.601 0.596
Br 0.148 0.819 0.585
Br 0.175 0.346 0.774
Br 0.506 0.932 0.975
Br 0.541 0.372 0.202
Br 0.736 0.856 0.413
Br 0.774 0.381 0.587